Record 1
This entry pairs a crystal structure of Nb3O5F with its simulated powder X-ray diffraction pattern. Radiation: Cu Kα (weighted mean of Kα1 and Kα2). Structure: a structure optimized by DFT (GGA-PBE).
Neutral-atom scattering factors, no anomalous dispersion.

Structural model:
```
18
Lattice="4.6649 -3.5590 0.0000 4.6649 3.5590 0.0000 -3.9920 0.0000 6.7924" Properties=species:S:1:pos:R:3 pbc="T T T"
Nb 0.0000 0.0000 0.0000
Nb -1.9960 0.0000 3.3962
Nb 1.6911 0.0000 2.2120
Nb -0.0819 0.0000 5.6533
Nb 5.4196 0.0000 1.1391
Nb 3.6466 0.0000 4.5804
O -0.2154 2.0117 5.6634
O 0.1010 0.0000 3.4840
O 2.6688 1.4610 3.3962
O 5.5530 2.0117 1.1290
O 3.4043 0.0000 0.9291
O 1.9334 0.0000 5.8633
O -0.2154 -2.0117 5.6634
O 2.6688 -1.4610 3.3962
O 5.2366 0.0000 3.3084
O 5.5530 -2.0117 1.1290
F -2.3561 0.0000 5.5076
F 7.6938 0.0000 1.2848
```

Principal peaks in the range 10° ≤ 2θ ≤ 90°, low angle first:
2θ/deg	I/Imax
24.27	86
25.02	84
35.13	29
35.80	100
49.72	18
50.63	47
51.41	63
56.44	14
57.57	13
63.47	29


Record 2
This entry pairs a crystal structure of La6Si3N with its simulated powder X-ray diffraction pattern. Radiation: Cu Kα (weighted mean of Kα1 and Kα2). Structure: a structure optimized by DFT (GGA-PBE).
Neutral-atom scattering factors, no anomalous dispersion.

Structural model:
```
20
Lattice="6.3634 3.6739 4.2559 -6.3634 3.6739 4.2559 0.0000 -7.3478 4.2559" Properties=species:S:1:pos:R:3 pbc="T T T"
La -4.2121 -4.1076 7.0466
La -5.6633 1.5940 5.7211
La -1.4310 -1.7525 5.1055
La 1.4512 -5.7016 5.7211
La -0.8023 2.1155 5.1055
La -2.2332 0.3630 7.6622
La 2.2332 -0.3630 5.1055
La 0.8023 -2.1155 7.6622
La -1.4512 5.7016 7.0466
La 1.4310 1.7525 7.6622
La 5.6633 -1.5940 7.0466
La 4.2121 4.1076 5.7211
Si -3.2182 0.5916 4.2895
Si 1.0968 -3.0828 4.2895
Si -2.1214 -2.4912 8.4781
Si 2.1214 2.4912 4.2895
Si -1.0968 3.0828 8.4781
Si 3.2182 -0.5916 8.4781
N 0.0000 0.0000 0.0000
N 0.0000 0.0000 6.3838
```

Principal peaks in the range 10° ≤ 2θ ≤ 90°, low angle first:
2θ/deg	I/Imax
24.23	23
25.53	100
28.04	24
29.13	40
32.47	58
35.44	61
37.39	30
38.29	28
51.68	21
52.47	24


Record 3
This entry pairs a crystal structure of RbDy2Zr2O7 with its simulated powder X-ray diffraction pattern. Radiation: Cu Kα (weighted mean of Kα1 and Kα2). Structure: a structure optimized by DFT (GGA-PBE).
Neutral-atom scattering factors, no anomalous dispersion.

Structural model:
```
12
Lattice="-2.1679 9.2933 2.2803 2.1679 -9.2933 2.2803 2.1679 9.2933 -2.2803" Properties=species:S:1:pos:R:3 pbc="T T T"
Rb 0.0000 0.0000 0.0000
Dy 2.1679 4.4577 0.0508
Dy 0.0000 4.8356 2.3311
Zr 2.1679 -2.0250 2.2610
Zr 2.1679 2.0250 2.2610
O 2.1679 2.2195 0.1347
O 0.0000 5.0012 0.0533
O 2.1679 6.8948 0.0809
O 0.0000 9.2933 0.0434
O 0.0000 2.3985 2.3612
O 0.0000 13.5855 0.0533
O 0.0000 7.0738 2.4150
```

Principal peaks in the range 10° ≤ 2θ ≤ 90°, low angle first:
2θ/deg	I/Imax
25.07	22
30.02	100
31.04	27
34.45	30
38.76	24
39.52	32
40.91	18
41.66	28
57.62	22
58.77	19